(1)
Computed PXRD pattern of Tl2AgSnI6 for Cu Kα (λ = 1.5418 Å), from the PBE geometry in Alexandria.
Lines closer than 0.1° are merged.

Crystal structure
```
data_Tl2AgSnI6
_chemical_formula_sum 'Tl4 Ag2 Sn2 I12'
_cell_length_a 8.003
_cell_length_b 8.548
_cell_length_c 14.055
_cell_angle_alpha 90.00
_cell_angle_beta 124.58
_cell_angle_gamma 90.00
_symmetry_space_group_name_H-M 'P 1 21/c 1'
_symmetry_Int_Tables_number 14
loop_
_symmetry_equiv_pos_as_xyz
'x,y,z'
'-x,-y,-z'
'-x,y+1/2,-z+1/2'
'x,-y+1/2,z+1/2'
loop_
_atom_site_label
_atom_site_fract_x
_atom_site_fract_y
_atom_site_fract_z
Tl1 0.213 0.094 0.249
Ag1 0.000 0.000 0.500
Sn1 0.500 0.000 0.000
I1 0.140 0.197 0.951
I2 0.264 0.694 0.955
I3 0.347 0.014 0.746
```

Peak list (6 most intense, 15° ≤ 2θ ≤ 90°, in order of falling intensity)
- 30.91 deg, I = 100, hkl 0 0 4
- 38.63 deg, I = 97, hkl 3 1 -5
- 25.76 deg, I = 97, hkl 2 1 -1
- 30.60 deg, I = 94, hkl 2 2 -2
- 21.62 deg, I = 76, hkl 1 1 -3
- 25.92 deg, I = 65, hkl 0 2 2


(2)
Computed PXRD pattern of InAg for Cu Kα (λ = 1.5418 Å), from the PBE geometry in Alexandria.
Lines closer than 0.1° are merged.

Crystal structure
```
data_InAg
_chemical_formula_sum 'In2 Ag2'
_cell_length_a 3.227
_cell_length_b 3.227
_cell_length_c 8.391
_cell_angle_alpha 90.00
_cell_angle_beta 90.00
_cell_angle_gamma 90.00
_symmetry_space_group_name_H-M 'P 4/n m m'
_symmetry_Int_Tables_number 129
loop_
_symmetry_equiv_pos_as_xyz
'x,y,z'
'-x,-y,-z'
'-y+1/2,x,z'
'y+1/2,-x,-z'
'-x+1/2,-y+1/2,z'
'x+1/2,y+1/2,-z'
'y,-x+1/2,z'
'-y,x+1/2,-z'
'x+1/2,-y,-z'
'-x+1/2,y,z'
'-y,-x,-z'
'y,x,z'
'-x,y+1/2,-z'
'x,-y+1/2,z'
'y+1/2,x+1/2,-z'
'-y+1/2,-x+1/2,z'
loop_
_atom_site_label
_atom_site_fract_x
_atom_site_fract_y
_atom_site_fract_z
In1 0.250 0.250 0.152
Ag1 0.250 0.250 0.608
```

Peak list (6 most intense, 15° ≤ 2θ ≤ 90°, in order of falling intensity)
- 35.08 deg, I = 100, hkl 1 0 2
- 39.49 deg, I = 39, hkl 1 1 0
- 68.79 deg, I = 26, hkl 2 1 2
- 59.89 deg, I = 15, hkl 1 1 4
- 57.08 deg, I = 13, hkl 2 0 0
- 43.12 deg, I = 11, hkl 0 0 4


(3)
Computed PXRD pattern of Fe2Co for Cu Kα (λ = 1.5418 Å), from the PBE geometry in Alexandria.
Lines closer than 0.1° are merged.

Crystal structure
```
data_Fe2Co
_chemical_formula_sum 'Fe8 Co4'
_cell_length_a 2.835
_cell_length_b 4.019
_cell_length_c 12.063
_cell_angle_alpha 90.00
_cell_angle_beta 90.00
_cell_angle_gamma 90.00
_symmetry_space_group_name_H-M 'C m m e'
_symmetry_Int_Tables_number 67
_symmetry_space_group_name_Hall '-C 2a 2'
loop_
_atom_site_label
_atom_site_fract_x
_atom_site_fract_y
_atom_site_fract_z
Fe1 0.000 0.250 0.084
Fe2 0.000 0.250 0.748
Co1 0.000 0.250 0.417
```

Peak list (5 most intense, 15° ≤ 2θ ≤ 90°, in order of falling intensity)
- 45.15 deg, I = 100, hkl 1 1 3
- 83.31 deg, I = 19, hkl 1 3 3
- 65.70 deg, I = 10, hkl 0 2 6
- 83.45 deg, I = 10, hkl 2 2 0
- 65.90 deg, I = 5, hkl 2 0 0


(4)
Computed PXRD pattern of K2S2O7 for Cu Kα (λ = 1.5418 Å), from the PBE geometry in Alexandria.
Lines closer than 0.1° are merged.

Crystal structure
```
data_K2S2O7
_chemical_formula_sum 'K8 S8 O28'
_cell_length_a 12.989
_cell_length_b 7.513
_cell_length_c 7.413
_cell_angle_alpha 90.00
_cell_angle_beta 92.46
_cell_angle_gamma 90.00
_symmetry_space_group_name_H-M 'C 1 2/c 1'
_symmetry_Int_Tables_number 15
loop_
_symmetry_equiv_pos_as_xyz
'x,y,z'
'-x,-y,-z'
'-x,y,-z+1/2'
'x,-y,z+1/2'
'x+1/2,y+1/2,z'
'-x+1/2,-y+1/2,-z'
'-x+1/2,y+1/2,-z+1/2'
'x+1/2,-y+1/2,z+1/2'
loop_
_atom_site_label
_atom_site_fract_x
_atom_site_fract_y
_atom_site_fract_z
K1 0.145 0.171 0.164
S1 0.098 0.305 0.654
O1 0.000 0.407 0.750
O2 0.054 0.209 0.498
O3 0.144 0.186 0.791
O4 0.162 0.457 0.612
```

Peak list (6 most intense, 15° ≤ 2θ ≤ 90°, in order of falling intensity)
- 27.21 deg, I = 100, hkl 2 0 -2
- 27.49 deg, I = 95, hkl 4 0 0
- 23.69 deg, I = 81, hkl 0 2 0
- 26.61 deg, I = 81, hkl 0 2 1
- 28.26 deg, I = 57, hkl 2 0 2
- 46.68 deg, I = 39, hkl 2 2 3


(5)
Computed PXRD pattern of KBa3Au2 for Cu Kα (λ = 1.5418 Å), from the PBE geometry in Alexandria.
Lines closer than 0.1° are merged.

Crystal structure
```
data_KBa3Au2
_chemical_formula_sum 'K1 Ba3 Au2'
_cell_length_a 8.7854
_cell_length_b 8.7854
_cell_length_c 4.3887
_cell_angle_alpha 90.00
_cell_angle_beta 90.00
_cell_angle_gamma 120.00
_symmetry_space_group_name_H-M 'P 6/m m m'
_symmetry_Int_Tables_number 191
_symmetry_space_group_name_Hall '-P 6 2'
loop_
_atom_site_label
_atom_site_fract_x
_atom_site_fract_y
_atom_site_fract_z
K1 0.0000 0.0000 0.0000
Ba1 0.0000 0.5000 0.5000
Au1 0.3333 0.6667 0.0000
```

Peak list (6 most intense, 15° ≤ 2θ ≤ 90°, in order of falling intensity)
- 28.75 deg, I = 100, hkl 1 1 1
- 31.11 deg, I = 98, hkl 2 0 1
- 41.11 deg, I = 93, hkl 2 2 0
- 59.54 deg, I = 53, hkl 2 2 2
- 20.22 deg, I = 33, hkl 1 1 0
- 52.43 deg, I = 33, hkl 4 0 1


(6)
Computed PXRD pattern of Cs2PtS6O18F6 for Cu Kα (λ = 1.5418 Å), from the PBE geometry in Alexandria.
Lines closer than 0.1° are merged.

Crystal structure
```
data_Cs2PtS6O18F6
_chemical_formula_sum 'Cs2 Pt1 S6 O18 F6'
_cell_length_a 9.4565
_cell_length_b 9.4565
_cell_length_c 8.2703
_cell_angle_alpha 90.00
_cell_angle_beta 90.00
_cell_angle_gamma 120.00
_symmetry_space_group_name_H-M 'P 3 2 1'
_symmetry_Int_Tables_number 150
loop_
_symmetry_equiv_pos_as_xyz
'x,y,z'
'-y,x-y,z'
'-x+y,-x,z'
'y,x,-z'
'x-y,-y,-z'
'-x,-x+y,-z'
loop_
_atom_site_label
_atom_site_fract_x
_atom_site_fract_y
_atom_site_fract_z
Cs1 0.3333 0.6667 0.3705
Pt1 0.0000 0.0000 0.0000
S1 0.1154 0.3322 0.7761
O1 0.0480 0.3405 0.2617
O2 0.0603 0.8676 0.8460
O3 0.1700 0.7561 0.6601
F1 0.1675 0.4540 0.9273
```

Peak list (6 most intense, 15° ≤ 2θ ≤ 90°, in order of falling intensity)
- 15.23 deg, I = 100, hkl 0 1 1
- 24.25 deg, I = 78, hkl 2 0 1
- 18.77 deg, I = 41, hkl 1 1 0
- 30.84 deg, I = 36, hkl 1 2 1
- 24.11 deg, I = 29, hkl 1 0 2
- 36.25 deg, I = 29, hkl 2 1 2